Structure and computed X-ray powder pattern of Li2CoSiO4 (a crystal structure in Alexandria, relaxed with GGA+U; Cu Ka).

Atomic structure:
abc: 5.305 5.305 6.302
angles: 90.00 90.00 92.13
Fractional coordinates of all 16 atoms:
Li 0.187 0.813 0.750
Li 0.319 0.319 0.000
Li 0.681 0.681 0.500
Li 0.813 0.187 0.250
Co 0.179 0.821 0.250
Co 0.821 0.179 0.750
Si 0.324 0.324 0.500
Si 0.676 0.676 0.000
O 0.195 0.198 0.284
O 0.198 0.195 0.716
O 0.291 0.633 0.499
O 0.367 0.709 0.001
O 0.633 0.291 0.501
O 0.709 0.367 0.999
O 0.802 0.805 0.216
O 0.805 0.802 0.784

Most intense lines, 10° ≤ 2θ ≤ 80°, by angle:
| 2θ (°) | Rel. int. |
| --- | --- |
| 21.9 | 100.0 |
| 27.3 | 14.9 |
| 33.1 | 44.4 |
| 33.8 | 48.4 |
| 47.5 | 17.0 |
| 60.0 | 29.7 |